1.
# P4SO6
Theoretical X-ray powder pattern, Cu Kα X-rays. Input: a PBE-relaxed structure.
Lines closer than 0.1° are merged.

Crystal structure
Unit cell a=8.606 b=9.986 c=10.247 alpha=90.00 beta=90.26 gamma=90.00
Space group P2_1/c (No. 14)
Unique sites:
P: 0.028 0.046 0.231 [4 per cell]
P: 0.290 0.594 0.613 [4 per cell]
P: 0.303 0.200 0.159 [4 per cell]
P: 0.313 0.012 0.384 [4 per cell]
S: 0.192 0.552 0.258 [4 per cell]
O: 0.098 0.570 0.638 [4 per cell]
O: 0.109 0.181 0.176 [4 per cell]
O: 0.118 0.021 0.368 [4 per cell]
O: 0.342 0.062 0.075 [4 per cell]
O: 0.350 0.599 0.768 [4 per cell]
O: 0.360 0.153 0.308 [4 per cell]

Most intense lines, 15° ≤ 2θ ≤ 90°, by angle:
d [Å], Rel. int.
5.502, 1000
5.123, 567
4.993, 489
4.489, 165
4.394, 188
4.308, 276
3.688, 130
3.306, 216
3.105, 125
3.023, 367
2.869, 105
2.061, 222

***

2.
# PaRePN
Theoretical X-ray powder pattern, Cu Kα X-rays. Input: a PBE-relaxed structure.
Lines closer than 0.1° are merged.

Crystal structure
Unit cell a=3.983 b=3.983 c=7.985 alpha=90.00 beta=90.00 gamma=90.00
Space group P4/nmm (No. 129, origin choice 2)
Unique sites:
Pa: 0.250 0.250 0.146 [2 per cell]
Re: 0.250 0.750 0.500 [2 per cell]
P: 0.250 0.250 0.665 [2 per cell]
N: 0.250 0.750 0.000 [2 per cell]

Most intense lines, 15° ≤ 2θ ≤ 90°, by angle:
d [Å], Rel. int.
3.564, 420
2.820, 631
2.658, 1000
2.302, 421
1.992, 388
1.739, 121
1.628, 579
1.595, 260
1.408, 128
1.245, 147
1.244, 150
1.201, 106